No. 1
The following is a computed powder diffraction line list of Ca2MnSiPd6. It was derived from DFT lattice parameters and positions (PBE), using a wavelength of 1.5418 Å.
Peak positions follow from Bragg's law for the DFT cell and can differ from measured ones.

Top 8 peaks for 2θ = 10–80°, by intensity:
- 20.68 deg, I = 100
- 39.93 deg, I = 77
- 35.82 deg, I = 61
- 37.19 deg, I = 57
- 38.41 deg, I = 37
- 38.62 deg, I = 34
- 36.14 deg, I = 33
- 36.00 deg, I = 30

Crystal structure
```
Ca2MnSiPd6
1.0
5.5716 0.0000 0.0000
2.7577 5.5894 0.0000
2.7646 0.6466 5.9344
Ca Mn Si Pd
2 1 1 6
direct
0.0065 0.2333 0.2516
0.9935 0.7667 0.7484
0.5000 0.0000 0.5000
0.5000 0.5000 0.0000
0.0171 0.6779 0.2929
0.3369 0.9170 0.9177
0.4891 0.3257 0.7035
0.5109 0.6743 0.2965
0.6631 0.0830 0.0823
0.9829 0.3221 0.7071
```

No. 2
The following is a computed powder diffraction line list of Cs3Np2O7. It was derived from DFT lattice parameters and positions (PBE), using a wavelength of 1.5418 Å.
Peak positions follow from Bragg's law for the DFT cell and can differ from measured ones.

Top 8 peaks for 2θ = 10–80°, by intensity:
- 27.45 deg, I = 100
- 28.80 deg, I = 51
- 50.21 deg, I = 39
- 41.18 deg, I = 26
- 47.67 deg, I = 17
- 56.65 deg, I = 13
- 20.59 deg, I = 12
- 37.15 deg, I = 11

Crystal structure
```
Cs3Np2O7
1.0
-2.1920 2.1920 12.1013
2.1920 -2.1920 12.1013
2.1920 2.1920 -12.1013
Cs Np O
3 2 7
direct
0.0000 0.0000 0.0000
0.1894 0.1894 0.0000
0.8106 0.8106 0.0000
0.4098 0.4098 0.0000
0.5902 0.5902 0.0000
0.0915 0.5915 0.5000
0.3293 0.3293 0.0000
0.4085 0.9085 0.5000
0.5000 0.5000 0.0000
0.5915 0.0915 0.5000
0.6707 0.6707 0.0000
0.9085 0.4085 0.5000
```

Q: Number 1 is which compound?
A: Ca2MnSiPd6

Please write out number 1 again, unchanged.
The following is a computed powder diffraction line list of Ca2MnSiPd6. It was derived from DFT lattice parameters and positions (PBE), using a wavelength of 1.5418 Å.
Peak positions follow from Bragg's law for the DFT cell and can differ from measured ones.

Top 8 peaks for 2θ = 10–80°, by intensity:
- 20.68 deg, I = 100
- 39.93 deg, I = 77
- 35.82 deg, I = 61
- 37.19 deg, I = 57
- 38.41 deg, I = 37
- 38.62 deg, I = 34
- 36.14 deg, I = 33
- 36.00 deg, I = 30

Crystal structure
```
Ca2MnSiPd6
1.0
5.5716 0.0000 0.0000
2.7577 5.5894 0.0000
2.7646 0.6466 5.9344
Ca Mn Si Pd
2 1 1 6
direct
0.0065 0.2333 0.2516
0.9935 0.7667 0.7484
0.5000 0.0000 0.5000
0.5000 0.5000 0.0000
0.0171 0.6779 0.2929
0.3369 0.9170 0.9177
0.4891 0.3257 0.7035
0.5109 0.6743 0.2965
0.6631 0.0830 0.0823
0.9829 0.3221 0.7071
```

Q: What is the formula in the first record?
A: Ca2MnSiPd6

Q: Number 1 is which compound?
A: Ca2MnSiPd6